Structure and calculated powder X-ray diffraction pattern of Ti2MnPb3O9 (DFT lattice parameters and positions (GGA+U); λ = 1.5418 Å (Cu Kα)).
No peak broadening, texture or thermal motion is included.

Structure:
Unit cell a=5.576 b=5.576 c=6.831 alpha=90.00 beta=90.00 gamma=120.00
Fractional coordinates of all 15 atoms:
1 Ti 0.333 0.667 0.166
2 Ti 0.667 0.333 0.834
3 Mn 0.000 0.000 0.500
4 Pb 0.000 0.000 0.000
5 Pb 0.333 0.667 0.658
6 Pb 0.667 0.333 0.342
7 O 0.000 0.500 0.000
8 O 0.165 0.329 0.336
9 O 0.165 0.835 0.336
10 O 0.329 0.165 0.664
11 O 0.500 0.000 0.000
12 O 0.500 0.500 0.000
13 O 0.671 0.835 0.336
14 O 0.835 0.165 0.664
15 O 0.835 0.671 0.664

Largest 10 diffraction maxima, low angle first, 2θ = 15–90°:
2θ 22.55, intensity 37, (1 0 1); 2θ 32.10, intensity 100, (1 1 0); 2θ 39.58, intensity 28, (0 2 1); 2θ 46.03, intensity 29, (2 0 2); 2θ 51.84, intensity 19, (2 1 1); 2θ 57.22, intensity 40, (3 0 0); 2θ 67.14, intensity 18, (2 2 0); 2θ 71.82, intensity 10, (1 3 1); 2θ 76.37, intensity 17, (3 1 2); 2θ 80.84, intensity 10, (4 0 1)